Simulated X-ray diffraction stick pattern
Compound: AsSO5
Radiation: CuKα
Structure: the GGA-PBE geometry in Alexandria
No peak broadening, texture or thermal motion is included.

Top 12 peaks for 2θ = 10–80°, in order of rising 2θ:
| two_theta | d [Å] | Rel. int. |
| --- | --- | --- |
| 17.24 | 5.144 | 81 |
| 17.98 | 4.934 | 40 |
| 18.41 | 4.819 | 58 |
| 19.10 | 4.646 | 27 |
| 21.83 | 4.071 | 45 |
| 26.05 | 3.421 | 55 |
| 27.48 | 3.246 | 76 |
| 28.24 | 3.160 | 58 |
| 28.41 | 3.141 | 100 |
| 35.13 | 2.554 | 49 |
| 36.09 | 2.489 | 46 |
| 53.43 | 1.715 | 25 |

Crystal structure
Cell lengths 5.173, 5.571, 6.987 Å; angles 107.27, 105.60, 98.86 degrees
Fractional positions:
As (0.000, 0.000, 0.000)
As (0.000, 0.000, 0.500)
S (0.341, 0.665, 0.258)
S (0.659, 0.335, 0.742)
O (0.095, 0.940, 0.734)
O (0.122, 0.681, 0.364)
O (0.310, 0.390, 0.140)
O (0.319, 0.819, 0.116)
O (0.380, 0.232, 0.567)
O (0.620, 0.768, 0.433)
O (0.681, 0.181, 0.884)
O (0.690, 0.610, 0.860)
O (0.878, 0.319, 0.636)
O (0.905, 0.060, 0.266)

Simulated X-ray diffraction stick pattern
Compound: Ca3VCl8
Radiation: CuKα
Structure: the GGA-PBE geometry in Alexandria
No peak broadening, texture or thermal motion is included.

Top 12 peaks for 2θ = 10–80°, in order of rising 2θ:
| two_theta | d [Å] | Rel. int. |
| --- | --- | --- |
| 13.76 | 6.435 | 100 |
| 26.21 | 3.401 | 27 |
| 31.76 | 2.817 | 85 |
| 32.03 | 2.794 | 42 |
| 41.78 | 2.162 | 19 |
| 42.16 | 2.144 | 8 |
| 45.47 | 1.995 | 42 |
| 45.61 | 1.989 | 12 |
| 45.99 | 1.973 | 24 |
| 56.69 | 1.624 | 13 |
| 59.18 | 1.561 | 8 |
| 75.62 | 1.258 | 8 |

Crystal structure
Cell lengths 7.894, 7.894, 7.956 Å; angles 119.55, 119.55, 60.73 degrees
Fractional positions:
Ca (0.000, 0.000, 0.000)
Ca (0.000, 0.500, 0.500)
Ca (0.500, 0.000, 0.500)
V (0.500, 0.500, 0.000)
Cl (0.243, 0.243, 0.261)
Cl (0.266, 0.727, 0.777)
Cl (0.273, 0.273, 0.762)
Cl (0.273, 0.734, 0.223)
Cl (0.727, 0.266, 0.777)
Cl (0.727, 0.727, 0.238)
Cl (0.734, 0.273, 0.223)
Cl (0.757, 0.757, 0.739)